Entry 1:
# K2NaSb3O9
Theoretical powder X-ray diffraction pattern, a wavelength of 1.5418 Å. Input: a DFT-relaxed cell (PBE, the Materials Project).
Lines closer than 0.1° are merged.

Largest 6 diffraction maxima, in order of rising 2θ, 5° ≤ 2θ ≤ 70°:
| 2θ (°) | d_spacing | I/Imax |
| --- | --- | --- |
| 13.00 | 6.809 | 86.3 |
| 18.43 | 4.815 | 35.7 |
| 29.33 | 3.045 | 100.0 |
| 34.86 | 2.574 | 66.2 |
| 48.19 | 1.889 | 52.7 |
| 57.42 | 1.605 | 34.0 |

Crystal structure
a b c (Å): 9.629 9.631 9.629
angles (deg): 90.00 90.00 90.00
Fractional coordinates of all 60 atoms:
K  0.148  0.148  0.000
K  0.151  0.849  0.299
K  0.349  0.349  0.799
K  0.352  0.648  0.500
K  0.648  0.352  0.500
K  0.651  0.651  0.799
K  0.849  0.151  0.299
K  0.852  0.852  0.000
Na  0.242  0.242  0.394
Na  0.258  0.742  0.894
Na  0.742  0.258  0.894
Na  0.758  0.758  0.394
Sb  0.000  0.340  0.651
Sb  0.000  0.500  0.311
Sb  0.000  0.500  0.992
Sb  0.000  0.660  0.651
Sb  0.159  0.999  0.651
Sb  0.341  0.499  0.151
Sb  0.500  0.000  0.492
Sb  0.500  0.000  0.811
Sb  0.500  0.160  0.151
Sb  0.500  0.840  0.151
Sb  0.659  0.501  0.151
Sb  0.841  0.001  0.651
O  0.000  0.000  0.512
O  0.000  0.000  0.789
O  0.001  0.361  0.151
O  0.003  0.338  0.440
O  0.003  0.662  0.863
O  0.139  0.500  0.652
O  0.162  0.211  0.648
O  0.163  0.788  0.654
O  0.212  0.497  0.313
O  0.212  0.502  0.989
O  0.288  0.002  0.489
O  0.288  0.997  0.813
O  0.337  0.288  0.154
O  0.338  0.711  0.148
O  0.361  0.000  0.152
O  0.497  0.162  0.363
O  0.497  0.838  0.940
O  0.499  0.861  0.651
O  0.500  0.500  0.012
O  0.500  0.500  0.289
O  0.501  0.139  0.651
O  0.503  0.162  0.940
O  0.503  0.838  0.363
O  0.639  0.000  0.152
O  0.662  0.289  0.148
O  0.663  0.712  0.154
O  0.712  0.003  0.813
O  0.712  0.998  0.489
O  0.788  0.498  0.989
O  0.788  0.503  0.313
O  0.837  0.212  0.654
O  0.838  0.789  0.648
O  0.861  0.500  0.652
O  0.997  0.338  0.863
O  0.997  0.662  0.440
O  0.999  0.639  0.151

Entry 2:
# CuH16PtC4N4O11
Theoretical powder X-ray diffraction pattern, a wavelength of 1.5418 Å. Input: a DFT-relaxed cell (PBE, the Materials Project).
Lines closer than 0.1° are merged.

Largest 6 diffraction maxima, in order of rising 2θ, 5° ≤ 2θ ≤ 70°:
| 2θ (°) | d_spacing | I/Imax |
| --- | --- | --- |
| 11.55 | 7.662 | 46.4 |
| 17.40 | 5.096 | 100.0 |
| 20.94 | 4.243 | 66.6 |
| 25.54 | 3.488 | 30.3 |
| 26.57 | 3.354 | 30.4 |
| 29.16 | 3.062 | 33.9 |

Crystal structure
a b c (Å): 9.206 9.206 7.462
angles (deg): 113.87 113.87 44.53
Fractional coordinates of all 37 atoms:
Cu  0.000  0.000  0.000
H  0.141  0.690  0.519
H  0.153  0.645  0.284
H  0.228  0.460  0.377
H  0.310  0.859  0.481
H  0.316  0.286  0.905
H  0.353  0.251  0.701
H  0.355  0.847  0.716
H  0.525  0.163  0.311
H  0.540  0.772  0.623
H  0.709  0.091  0.515
H  0.714  0.684  0.095
H  0.749  0.647  0.299
H  0.754  0.078  0.312
H  0.837  0.475  0.689
H  0.909  0.291  0.485
H  0.922  0.246  0.688
Pt  0.532  0.468  0.500
C  0.202  0.139  0.067
C  0.207  0.135  0.274
C  0.861  0.798  0.933
C  0.865  0.793  0.726
N  0.229  0.579  0.409
N  0.421  0.771  0.591
N  0.643  0.165  0.399
N  0.835  0.357  0.601
O  0.127  0.063  0.275
O  0.129  0.060  0.915
O  0.271  0.213  0.059
O  0.286  0.198  0.424
O  0.359  0.322  0.839
O  0.678  0.641  0.161
O  0.732  0.268  0.000
O  0.787  0.729  0.941
O  0.802  0.714  0.576
O  0.937  0.873  0.725
O  0.940  0.871  0.085

Entry 3:
# Mg14AlCO16
Theoretical powder X-ray diffraction pattern, a wavelength of 1.5418 Å. Input: a DFT-relaxed cell (PBE, the Materials Project).
Lines closer than 0.1° are merged.

Largest 6 diffraction maxima, in order of rising 2θ, 5° ≤ 2θ ≤ 70°:
| 2θ (°) | d_spacing | I/Imax |
| --- | --- | --- |
| 36.62 | 2.454 | 26.0 |
| 41.63 | 2.169 | 94.1 |
| 42.92 | 2.107 | 89.2 |
| 43.05 | 2.101 | 89.3 |
| 61.38 | 1.510 | 100.0 |
| 62.41 | 1.488 | 49.3 |

Crystal structure
a b c (Å): 4.202 8.429 8.678
angles (deg): 90.00 90.00 90.00
Fractional coordinates of all 32 atoms:
Mg  0.000  0.000  0.000
Mg  0.000  0.000  0.500
Mg  0.000  0.255  0.246
Mg  0.000  0.255  0.754
Mg  0.000  0.745  0.246
Mg  0.000  0.745  0.754
Mg  0.500  0.000  0.248
Mg  0.500  0.000  0.752
Mg  0.500  0.250  0.500
Mg  0.500  0.254  0.000
Mg  0.500  0.500  0.245
Mg  0.500  0.500  0.755
Mg  0.500  0.746  0.000
Mg  0.500  0.750  0.500
Al  0.000  0.500  0.500
C  0.000  0.500  0.000
O  0.000  0.000  0.253
O  0.000  0.000  0.747
O  0.000  0.245  0.000
O  0.000  0.259  0.500
O  0.000  0.500  0.292
O  0.000  0.500  0.708
O  0.000  0.741  0.500
O  0.000  0.755  0.000
O  0.500  0.000  0.000
O  0.500  0.000  0.500
O  0.500  0.251  0.249
O  0.500  0.251  0.751
O  0.500  0.500  0.000
O  0.500  0.500  0.500
O  0.500  0.749  0.249
O  0.500  0.749  0.751

Entry 4:
# TiMn2
Theoretical powder X-ray diffraction pattern, a wavelength of 1.5418 Å. Input: a DFT-relaxed cell (PBE, the Materials Project).
Lines closer than 0.1° are merged.

Largest 6 diffraction maxima, in order of rising 2θ, 5° ≤ 2θ ≤ 70°:
| 2θ (°) | d_spacing | I/Imax |
| --- | --- | --- |
| 37.98 | 2.369 | 23.6 |
| 41.07 | 2.198 | 67.8 |
| 44.75 | 2.025 | 100.0 |
| 45.72 | 1.984 | 92.0 |
| 46.52 | 1.952 | 23.3 |
| 50.23 | 1.816 | 25.0 |

Crystal structure
a b c (Å): 4.738 4.738 7.808
angles (deg): 90.00 90.00 120.00
Fractional coordinates of all 12 atoms:
Ti  0.333  0.667  0.063
Ti  0.333  0.667  0.437
Ti  0.667  0.333  0.563
Ti  0.667  0.333  0.937
Mn  0.000  0.000  0.000
Mn  0.000  0.000  0.500
Mn  0.172  0.344  0.750
Mn  0.172  0.828  0.750
Mn  0.344  0.172  0.250
Mn  0.656  0.828  0.750
Mn  0.828  0.172  0.250
Mn  0.828  0.656  0.250

Entry 5:
# Li6SN4
Theoretical powder X-ray diffraction pattern, a wavelength of 1.5418 Å. Input: a DFT-relaxed cell (PBE, the Materials Project).
Lines closer than 0.1° are merged.

Largest 6 diffraction maxima, in order of rising 2θ, 5° ≤ 2θ ≤ 70°:
| 2θ (°) | d_spacing | I/Imax |
| --- | --- | --- |
| 19.89 | 4.464 | 51.0 |
| 23.05 | 3.858 | 100.0 |
| 33.83 | 2.650 | 39.1 |
| 36.79 | 2.443 | 23.8 |
| 47.04 | 1.932 | 17.0 |
| 55.85 | 1.646 | 19.0 |

Crystal structure
a b c (Å): 6.313 6.313 4.875
angles (deg): 90.00 90.00 90.00
Fractional coordinates of all 22 atoms:
Li  0.038  0.538  0.250
Li  0.038  0.962  0.250
Li  0.250  0.250  0.097
Li  0.250  0.250  0.597
Li  0.462  0.538  0.250
Li  0.462  0.962  0.250
Li  0.538  0.038  0.750
Li  0.538  0.462  0.750
Li  0.750  0.750  0.403
Li  0.750  0.750  0.903
Li  0.962  0.038  0.750
Li  0.962  0.462  0.750
S  0.250  0.750  0.750
S  0.750  0.250  0.250
N  0.034  0.750  0.572
N  0.250  0.534  0.928
N  0.250  0.966  0.928
N  0.466  0.750  0.572
N  0.534  0.250  0.428
N  0.750  0.034  0.072
N  0.750  0.466  0.072
N  0.966  0.250  0.428

Entry 6:
# Cu3Ag
Theoretical powder X-ray diffraction pattern, a wavelength of 1.5418 Å. Input: a DFT-relaxed cell (PBE, the Materials Project).
Lines closer than 0.1° are merged.

Largest 6 diffraction maxima, in order of rising 2θ, 5° ≤ 2θ ≤ 70°:
| 2θ (°) | d_spacing | I/Imax |
| --- | --- | --- |
| 23.62 | 3.767 | 2.1 |
| 26.42 | 3.373 | 6.2 |
| 33.59 | 2.668 | 1.6 |
| 41.48 | 2.177 | 100.0 |
| 43.28 | 2.091 | 1.6 |
| 48.27 | 1.885 | 47.2 |

Crystal structure
a b c (Å): 4.616 4.616 4.616
angles (deg): 131.76 131.76 70.61
Fractional coordinates of all 4 atoms:
Cu  0.000  0.000  0.000
Cu  0.250  0.750  0.500
Cu  0.750  0.250  0.500
Ag  0.500  0.500  0.000

Entry 7:
# MoWN3
Theoretical powder X-ray diffraction pattern, a wavelength of 1.5418 Å. Input: a DFT-relaxed cell (PBE, the Materials Project).
Lines closer than 0.1° are merged.

Largest 6 diffraction maxima, in order of rising 2θ, 5° ≤ 2θ ≤ 70°:
| 2θ (°) | d_spacing | I/Imax |
| --- | --- | --- |
| 12.55 | 7.051 | 81.3 |
| 20.35 | 4.363 | 100.0 |
| 24.18 | 3.681 | 72.8 |
| 33.59 | 2.668 | 86.4 |
| 34.04 | 2.633 | 99.8 |
| 34.85 | 2.574 | 73.3 |

Crystal structure
a b c (Å): 5.956 7.377 7.790
angles (deg): 104.02 105.50 106.30
Fractional coordinates of all 20 atoms:
Mo  0.165  0.270  0.426
Mo  0.172  0.943  0.101
Mo  0.828  0.057  0.899
Mo  0.835  0.730  0.574
W  0.235  0.579  0.158
W  0.263  0.161  0.805
W  0.737  0.839  0.195
W  0.765  0.421  0.842
N  0.093  0.346  0.928
N  0.136  0.476  0.342
N  0.162  0.914  0.620
N  0.355  0.180  0.285
N  0.402  0.358  0.684
N  0.403  0.800  0.057
N  0.597  0.200  0.943
N  0.598  0.642  0.316
N  0.645  0.820  0.715
N  0.838  0.086  0.380
N  0.864  0.524  0.658
N  0.907  0.654  0.072

Entry 8:
# KSbC6Br5
Theoretical powder X-ray diffraction pattern, a wavelength of 1.5418 Å. Input: a DFT-relaxed cell (PBE, the Materials Project).
Lines closer than 0.1° are merged.

Largest 6 diffraction maxima, in order of rising 2θ, 5° ≤ 2θ ≤ 70°:
| 2θ (°) | d_spacing | I/Imax |
| --- | --- | --- |
| 6.53 | 13.543 | 100.0 |
| 13.07 | 6.771 | 26.3 |
| 13.50 | 6.557 | 27.3 |
| 16.87 | 5.254 | 28.7 |
| 33.07 | 2.709 | 23.8 |
| 34.13 | 2.627 | 32.6 |

Crystal structure
a b c (Å): 7.370 7.493 13.543
angles (deg): 90.00 90.00 90.00
Fractional coordinates of all 26 atoms:
K  0.000  0.000  0.001
K  0.500  0.500  0.999
Sb  0.000  0.500  0.792
Sb  0.500  0.000  0.208
C  0.000  0.500  0.447
C  0.000  0.500  0.631
C  0.136  0.463  0.564
C  0.171  0.454  0.468
C  0.329  0.954  0.532
C  0.364  0.963  0.436
C  0.500  0.000  0.369
C  0.500  0.000  0.553
C  0.636  0.037  0.436
C  0.671  0.046  0.532
C  0.829  0.546  0.468
C  0.864  0.537  0.564
Br  0.000  0.500  0.991
Br  0.204  0.215  0.799
Br  0.209  0.200  0.201
Br  0.291  0.700  0.799
Br  0.296  0.715  0.201
Br  0.500  0.000  0.009
Br  0.704  0.285  0.201
Br  0.709  0.300  0.799
Br  0.791  0.800  0.201
Br  0.796  0.785  0.799

Copy entry 7 word for word.
# MoWN3
Theoretical powder X-ray diffraction pattern, a wavelength of 1.5418 Å. Input: a DFT-relaxed cell (PBE, the Materials Project).
Lines closer than 0.1° are merged.

Largest 6 diffraction maxima, in order of rising 2θ, 5° ≤ 2θ ≤ 70°:
| 2θ (°) | d_spacing | I/Imax |
| --- | --- | --- |
| 12.55 | 7.051 | 81.3 |
| 20.35 | 4.363 | 100.0 |
| 24.18 | 3.681 | 72.8 |
| 33.59 | 2.668 | 86.4 |
| 34.04 | 2.633 | 99.8 |
| 34.85 | 2.574 | 73.3 |

Crystal structure
a b c (Å): 5.956 7.377 7.790
angles (deg): 104.02 105.50 106.30
Fractional coordinates of all 20 atoms:
Mo  0.165  0.270  0.426
Mo  0.172  0.943  0.101
Mo  0.828  0.057  0.899
Mo  0.835  0.730  0.574
W  0.235  0.579  0.158
W  0.263  0.161  0.805
W  0.737  0.839  0.195
W  0.765  0.421  0.842
N  0.093  0.346  0.928
N  0.136  0.476  0.342
N  0.162  0.914  0.620
N  0.355  0.180  0.285
N  0.402  0.358  0.684
N  0.403  0.800  0.057
N  0.597  0.200  0.943
N  0.598  0.642  0.316
N  0.645  0.820  0.715
N  0.838  0.086  0.380
N  0.864  0.524  0.658
N  0.907  0.654  0.072